Theoretical powder X-ray diffraction pattern
Compound: CdBiAsO
Radiation: CuKα
Structure: a structure optimized by DFT (GGA-PBE)
Intensities are scaled so that the largest is 100.

Principal peaks in the range 2θ = 10–90°, sorted by position:
| 2θ (°) | d [Å] | I/Imax |
| --- | --- | --- |
| 19.1 | 4.645 | 28 |
| 27.8 | 3.211 | 100 |
| 28.1 | 3.176 | 53 |
| 28.7 | 3.107 | 56 |
| 34.2 | 2.622 | 27 |
| 34.7 | 2.583 | 34 |
| 38.8 | 2.323 | 38 |
| 40.6 | 2.221 | 31 |
| 45.2 | 2.004 | 41 |
| 49.0 | 1.860 | 26 |

Atomic structure:
```
8
Lattice="4.645 0.000 0.000 0.000 6.352 0.000 0.000 0.000 6.215" Properties=species:S:1:pos:R:3 pbc="T T T"
Cd 0.000 1.003 0.000
Cd 0.000 5.350 3.107
Bi 2.323 1.647 2.594
Bi 2.323 4.705 5.701
As 2.323 1.929 5.369
As 2.323 4.423 2.261
O 0.000 1.144 2.298
O 0.000 5.209 5.406
```

Theoretical powder X-ray diffraction pattern
Compound: CdBiAsO
Radiation: CuKα
Structure: a structure optimized by DFT (GGA-PBE)
Intensities are scaled so that the largest is 100.

Principal peaks in the range 2θ = 10–90°, sorted by position:
| 2θ (°) | d [Å] | I/Imax |
| --- | --- | --- |
| 25.8 | 3.454 | 100 |
| 26.2 | 3.395 | 23 |
| 27.5 | 3.248 | 73 |
| 28.0 | 3.187 | 42 |
| 29.4 | 3.037 | 40 |
| 29.8 | 2.997 | 31 |
| 32.6 | 2.747 | 31 |
| 38.4 | 2.342 | 37 |
| 45.2 | 2.005 | 31 |
| 50.4 | 1.810 | 27 |

Atomic structure:
```
16
Lattice="6.374 0.000 0.000 0.000 7.550 0.000 0.000 0.000 7.769" Properties=species:S:1:pos:R:3 pbc="T T T"
Cd 0.178 1.215 2.975
Cd 3.009 6.335 6.859
Cd 3.365 2.560 4.794
Cd 6.196 4.990 0.909
Bi 0.346 4.439 5.141
Bi 2.841 3.111 1.256
Bi 3.533 6.886 2.628
Bi 6.028 0.664 6.513
As 0.875 6.199 3.007
As 2.312 1.351 6.891
As 4.062 5.125 4.762
As 5.499 2.424 0.877
O 0.771 5.765 6.815
O 2.416 1.785 2.931
O 3.958 5.559 0.954
O 5.604 1.990 4.838
```

Theoretical powder X-ray diffraction pattern
Compound: CdBiAsO
Radiation: CuKα
Structure: a structure optimized by DFT (GGA-PBE)
Intensities are scaled so that the largest is 100.

Principal peaks in the range 2θ = 10–90°, sorted by position:
| 2θ (°) | d [Å] | I/Imax |
| --- | --- | --- |
| 19.1 | 4.648 | 24 |
| 23.8 | 3.733 | 21 |
| 26.6 | 3.347 | 35 |
| 28.5 | 3.134 | 100 |
| 29.0 | 3.084 | 42 |
| 34.5 | 2.598 | 37 |
| 35.6 | 2.519 | 24 |
| 38.7 | 2.324 | 31 |
| 43.9 | 2.061 | 20 |
| 48.8 | 1.867 | 45 |

Atomic structure:
```
32
Lattice="9.650 0.000 0.000 0.000 16.487 0.000 0.000 0.000 4.648" Properties=species:S:1:pos:R:3 pbc="T T T"
Cd 0.733 2.046 0.000
Cd 0.753 10.304 0.000
Cd 4.072 2.060 0.000
Cd 4.092 10.290 0.000
Cd 5.558 6.197 0.000
Cd 5.578 14.427 0.000
Cd 8.897 6.183 0.000
Cd 8.917 14.441 0.000
Bi 2.388 4.157 2.324
Bi 2.404 16.444 2.324
Bi 2.421 8.200 2.324
Bi 2.438 12.400 2.324
Bi 7.213 4.087 2.324
Bi 7.229 8.287 2.324
Bi 7.247 0.043 2.324
Bi 7.263 12.330 2.324
As 0.461 6.197 2.324
As 0.474 14.407 2.324
As 4.351 6.164 2.324
As 4.364 14.440 2.324
As 5.286 2.047 2.324
As 5.300 10.323 2.324
As 9.176 2.080 2.324
As 9.189 10.290 2.324
O 2.406 0.457 0.000
O 2.402 3.649 0.000
O 2.419 8.701 0.000
O 2.423 11.892 0.000
O 7.227 4.595 0.000
O 7.231 7.786 0.000
O 7.249 12.838 0.000
O 7.244 16.030 0.000
```

Theoretical powder X-ray diffraction pattern
Compound: Cs2Hg2BiAs
Radiation: CuKα
Structure: a structure optimized by DFT (GGA-PBE)
Intensities are scaled so that the largest is 100.

Principal peaks in the range 2θ = 10–90°, sorted by position:
| 2θ (°) | d [Å] | I/Imax |
| --- | --- | --- |
| 15.1 | 5.866 | 27 |
| 25.9 | 3.445 | 100 |
| 30.5 | 2.933 | 26 |
| 36.6 | 2.457 | 49 |
| 39.8 | 2.266 | 16 |
| 45.3 | 2.000 | 22 |
| 48.3 | 1.884 | 43 |
| 51.4 | 1.777 | 14 |
| 59.6 | 1.551 | 20 |
| 74.3 | 1.277 | 12 |

Atomic structure:
```
6
Lattice="4.914 0.000 0.000 -2.457 4.256 0.000 0.000 0.000 11.733" Properties=species:S:1:pos:R:3 pbc="T T T"
Cs 0.000 0.000 2.775
Cs 0.000 0.000 8.958
Hg 0.000 2.837 0.000
Hg 2.457 1.419 5.866
Bi 0.000 2.837 5.866
As 2.457 1.419 0.000
```

Theoretical powder X-ray diffraction pattern
Compound: Nb2Fe2BiAs
Radiation: CuKα
Structure: a structure optimized by DFT (GGA-PBE)
Intensities are scaled so that the largest is 100.

Principal peaks in the range 2θ = 10–90°, sorted by position:
| 2θ (°) | d [Å] | I/Imax |
| --- | --- | --- |
| 26.2 | 3.397 | 26 |
| 30.3 | 2.949 | 99 |
| 43.2 | 2.093 | 100 |
| 43.5 | 2.080 | 67 |
| 43.6 | 2.074 | 34 |
| 54.0 | 1.697 | 14 |
| 63.1 | 1.474 | 21 |
| 71.7 | 1.316 | 12 |
| 79.0 | 1.211 | 15 |
| 79.8 | 1.202 | 16 |

Atomic structure:
```
24
Lattice="10.209 0.000 0.000 0.000 4.147 0.000 -3.461 0.000 9.693" Properties=species:S:1:pos:R:3 pbc="T T T"
Nb 0.000 0.000 0.000
Nb -0.209 2.074 3.920
Nb -0.186 0.000 7.332
Nb 3.279 2.074 1.329
Nb 3.211 0.000 4.963
Nb 3.188 2.074 8.516
Nb 6.625 0.000 2.693
Nb 6.736 2.074 6.142
Fe -2.614 0.000 7.328
Fe 0.826 2.074 1.165
Fe 0.608 0.000 5.035
Fe 0.624 2.074 8.490
Fe 4.176 0.000 2.651
Fe 3.999 2.074 6.065
Fe 7.539 0.000 0.071
Fe 7.494 2.074 3.891
Bi 1.515 0.000 2.563
Bi 4.980 0.000 0.133
Bi 4.964 0.000 7.337
Bi 8.405 2.074 1.349
As -1.818 2.074 8.540
As 1.522 2.074 6.179
As 4.921 2.074 3.796
As 8.344 0.000 4.988
```

Theoretical powder X-ray diffraction pattern
Compound: HfZrBiAs
Radiation: CuKα
Structure: a structure optimized by DFT (GGA-PBE)
Intensities are scaled so that the largest is 100.

Principal peaks in the range 2θ = 10–90°, sorted by position:
| 2θ (°) | d [Å] | I/Imax |
| --- | --- | --- |
| 26.0 | 3.424 | 15 |
| 29.2 | 3.057 | 19 |
| 32.8 | 2.730 | 100 |
| 42.5 | 2.127 | 15 |
| 45.9 | 1.977 | 38 |
| 48.2 | 1.887 | 17 |
| 57.6 | 1.601 | 20 |
| 62.4 | 1.488 | 11 |
| 73.6 | 1.287 | 11 |
| 76.6 | 1.244 | 18 |

Atomic structure:
```
8
Lattice="3.954 0.000 0.000 -1.977 3.424 0.000 0.000 0.000 13.566" Properties=species:S:1:pos:R:3 pbc="T T T"
Hf 0.000 2.283 0.000
Hf 1.977 1.141 6.783
Zr 0.000 2.283 3.988
Zr 1.977 1.141 10.771
Bi 0.000 2.283 8.763
Bi 1.977 1.141 1.980
As 0.000 0.000 5.419
As 0.000 0.000 12.202
```

Theoretical powder X-ray diffraction pattern
Compound: HfZrBiAs
Radiation: CuKα
Structure: a structure optimized by DFT (GGA-PBE)
Intensities are scaled so that the largest is 100.

Principal peaks in the range 2θ = 10–90°, sorted by position:
| 2θ (°) | d [Å] | I/Imax |
| --- | --- | --- |
| 26.0 | 3.428 | 15 |
| 29.2 | 3.058 | 21 |
| 32.8 | 2.730 | 100 |
| 42.5 | 2.126 | 13 |
| 45.9 | 1.979 | 39 |
| 48.3 | 1.886 | 18 |
| 57.5 | 1.602 | 20 |
| 62.4 | 1.488 | 11 |
| 73.6 | 1.287 | 10 |
| 76.5 | 1.245 | 18 |

Atomic structure:
```
8
Lattice="3.958 0.000 0.000 -1.979 3.428 0.000 0.000 0.000 13.548" Properties=species:S:1:pos:R:3 pbc="T T T"
Hf 0.000 2.285 5.394
Hf 1.979 1.143 8.154
Zr 0.000 2.285 1.410
Zr 1.979 1.143 12.138
Bi 0.000 2.285 10.127
Bi 1.979 1.143 3.421
As 0.000 0.000 0.000
As 0.000 0.000 6.774
```

Theoretical powder X-ray diffraction pattern
Compound: HgBiAsO5
Radiation: CuKα
Structure: a structure optimized by DFT (GGA-PBE)
Intensities are scaled so that the largest is 100.

Principal peaks in the range 2θ = 10–90°, sorted by position:
| 2θ (°) | d [Å] | I/Imax |
| --- | --- | --- |
| 22.0 | 4.036 | 19 |
| 27.7 | 3.222 | 100 |
| 27.8 | 3.206 | 81 |
| 29.3 | 3.049 | 54 |
| 31.8 | 2.810 | 36 |
| 32.2 | 2.783 | 43 |
| 33.5 | 2.677 | 41 |
| 36.4 | 2.469 | 22 |
| 44.7 | 2.027 | 22 |
| 45.1 | 2.010 | 24 |

Atomic structure:
```
16
Lattice="5.382 0.000 0.000 -2.397 6.543 0.000 -0.713 -2.707 6.436" Properties=species:S:1:pos:R:3 pbc="T T T"
Hg 0.111 1.730 0.866
Hg 2.161 2.106 5.570
Bi -0.522 4.377 4.767
Bi 2.794 -0.541 1.669
As -0.471 0.506 4.234
As 2.743 3.330 2.201
O -0.296 -0.026 2.614
O -1.014 3.584 1.696
O -1.682 3.539 6.384
O 0.592 -0.323 5.324
O 0.047 2.142 4.357
O 2.225 1.693 2.079
O 1.680 4.159 1.111
O 3.953 0.297 0.052
O 3.285 0.251 4.740
O 2.568 3.862 3.822
```

Theoretical powder X-ray diffraction pattern
Compound: LaNi2BiAs
Radiation: CuKα
Structure: a structure optimized by DFT (GGA-PBE)
Intensities are scaled so that the largest is 100.

Principal peaks in the range 2θ = 10–90°, sorted by position:
| 2θ (°) | d [Å] | I/Imax |
| --- | --- | --- |
| 27.0 | 3.308 | 54 |
| 28.2 | 3.161 | 60 |
| 33.7 | 2.659 | 87 |
| 33.9 | 2.644 | 97 |
| 40.4 | 2.235 | 100 |
| 46.8 | 1.941 | 29 |
| 50.7 | 1.801 | 31 |
| 53.7 | 1.707 | 52 |
| 58.4 | 1.580 | 33 |
| 66.7 | 1.402 | 28 |

Atomic structure:
```
10
Lattice="4.470 0.000 0.000 0.000 4.470 0.000 0.000 0.000 9.837" Properties=species:S:1:pos:R:3 pbc="T T T"
La 1.117 1.117 2.305
La 3.352 3.352 7.532
Ni 1.117 1.117 8.912
Ni 1.117 3.352 4.919
Ni 3.352 1.117 4.919
Ni 3.352 3.352 0.925
Bi 1.117 1.117 6.270
Bi 3.352 3.352 3.567
As 1.117 3.352 0.000
As 3.352 1.117 0.000
```

Theoretical powder X-ray diffraction pattern
Compound: Li4Ni2BiAs
Radiation: CuKα
Structure: a structure optimized by DFT (GGA-PBE)
Intensities are scaled so that the largest is 100.

Principal peaks in the range 2θ = 10–90°, sorted by position:
| 2θ (°) | d [Å] | I/Imax |
| --- | --- | --- |
| 14.3 | 6.210 | 10 |
| 21.1 | 4.213 | 14 |
| 25.6 | 3.486 | 100 |
| 33.4 | 2.686 | 14 |
| 42.0 | 2.150 | 54 |
| 42.9 | 2.106 | 27 |
| 49.0 | 1.858 | 17 |
| 50.6 | 1.803 | 31 |
| 67.2 | 1.393 | 13 |
| 78.1 | 1.224 | 17 |

Atomic structure:
```
8
Lattice="4.213 0.000 0.000 0.000 4.213 0.000 0.000 0.000 6.210" Properties=species:S:1:pos:R:3 pbc="T T T"
Li 0.000 0.000 0.000
Li 0.000 2.106 1.350
Li 2.106 0.000 4.860
Li 2.106 2.106 3.105
Ni 0.000 2.106 4.854
Ni 2.106 0.000 1.356
Bi 0.000 0.000 3.105
As 2.106 2.106 0.000
```

Theoretical powder X-ray diffraction pattern
Compound: NdBiAsO5
Radiation: CuKα
Structure: a structure optimized by DFT (GGA-PBE)
Intensities are scaled so that the largest is 100.

Principal peaks in the range 2θ = 10–90°, sorted by position:
| 2θ (°) | d [Å] | I/Imax |
| --- | --- | --- |
| 27.8 | 3.214 | 100 |
| 29.9 | 2.987 | 81 |
| 32.0 | 2.793 | 23 |
| 32.8 | 2.729 | 33 |
| 35.4 | 2.537 | 17 |
| 45.6 | 1.988 | 15 |
| 46.5 | 1.952 | 27 |
| 49.0 | 1.858 | 23 |
| 53.2 | 1.720 | 16 |
| 55.6 | 1.654 | 19 |

Atomic structure:
```
16
Lattice="6.418 -2.729 0.000 6.418 2.729 0.000 -2.648 0.000 6.664" Properties=species:S:1:pos:R:3 pbc="T T T"
Nd 1.865 0.000 0.743
Nd 8.324 0.000 5.920
Bi 4.326 0.000 4.995
Bi 5.863 0.000 1.669
As 0.290 0.000 4.239
As 9.899 0.000 2.425
O 0.189 0.000 2.401
O 3.893 1.326 1.247
O 6.418 1.309 0.000
O 2.018 0.000 4.544
O 6.296 1.326 5.416
O 3.893 -1.326 1.247
O 8.171 0.000 2.120
O 6.418 -1.309 0.000
O 6.296 -1.326 5.416
O 10.000 0.000 4.263
```

Theoretical powder X-ray diffraction pattern
Compound: Zr4Bi2AsP
Radiation: CuKα
Structure: a structure optimized by DFT (GGA-PBE)
Intensities are scaled so that the largest is 100.

Principal peaks in the range 2θ = 10–90°, sorted by position:
| 2θ (°) | d [Å] | I/Imax |
| --- | --- | --- |
| 26.3 | 3.390 | 16 |
| 27.1 | 3.291 | 11 |
| 29.4 | 3.039 | 21 |
| 32.9 | 2.723 | 100 |
| 42.4 | 2.132 | 16 |
| 46.4 | 1.957 | 35 |
| 48.0 | 1.895 | 16 |
| 58.0 | 1.589 | 20 |
| 62.5 | 1.487 | 13 |
| 77.3 | 1.234 | 17 |

Atomic structure:
```
8
Lattice="3.914 0.000 0.000 -1.957 3.390 0.000 0.000 0.000 13.716" Properties=species:S:1:pos:R:3 pbc="T T T"
Zr 0.000 2.260 1.446
Zr 0.000 2.260 5.539
Zr 1.957 1.130 8.178
Zr 1.957 1.130 12.271
Bi 0.000 2.260 10.236
Bi 1.957 1.130 3.480
As 0.000 0.000 0.000
P 0.000 0.000 6.858
```

Please write out number 5 again, unchanged.
Theoretical powder X-ray diffraction pattern
Compound: Nb2Fe2BiAs
Radiation: CuKα
Structure: a structure optimized by DFT (GGA-PBE)
Intensities are scaled so that the largest is 100.

Principal peaks in the range 2θ = 10–90°, sorted by position:
| 2θ (°) | d [Å] | I/Imax |
| --- | --- | --- |
| 26.2 | 3.397 | 26 |
| 30.3 | 2.949 | 99 |
| 43.2 | 2.093 | 100 |
| 43.5 | 2.080 | 67 |
| 43.6 | 2.074 | 34 |
| 54.0 | 1.697 | 14 |
| 63.1 | 1.474 | 21 |
| 71.7 | 1.316 | 12 |
| 79.0 | 1.211 | 15 |
| 79.8 | 1.202 | 16 |

Atomic structure:
```
24
Lattice="10.209 0.000 0.000 0.000 4.147 0.000 -3.461 0.000 9.693" Properties=species:S:1:pos:R:3 pbc="T T T"
Nb 0.000 0.000 0.000
Nb -0.209 2.074 3.920
Nb -0.186 0.000 7.332
Nb 3.279 2.074 1.329
Nb 3.211 0.000 4.963
Nb 3.188 2.074 8.516
Nb 6.625 0.000 2.693
Nb 6.736 2.074 6.142
Fe -2.614 0.000 7.328
Fe 0.826 2.074 1.165
Fe 0.608 0.000 5.035
Fe 0.624 2.074 8.490
Fe 4.176 0.000 2.651
Fe 3.999 2.074 6.065
Fe 7.539 0.000 0.071
Fe 7.494 2.074 3.891
Bi 1.515 0.000 2.563
Bi 4.980 0.000 0.133
Bi 4.964 0.000 7.337
Bi 8.405 2.074 1.349
As -1.818 2.074 8.540
As 1.522 2.074 6.179
As 4.921 2.074 3.796
As 8.344 0.000 4.988
```

What did the fifth record say?
Theoretical powder X-ray diffraction pattern
Compound: Nb2Fe2BiAs
Radiation: CuKα
Structure: a structure optimized by DFT (GGA-PBE)
Intensities are scaled so that the largest is 100.

Principal peaks in the range 2θ = 10–90°, sorted by position:
| 2θ (°) | d [Å] | I/Imax |
| --- | --- | --- |
| 26.2 | 3.397 | 26 |
| 30.3 | 2.949 | 99 |
| 43.2 | 2.093 | 100 |
| 43.5 | 2.080 | 67 |
| 43.6 | 2.074 | 34 |
| 54.0 | 1.697 | 14 |
| 63.1 | 1.474 | 21 |
| 71.7 | 1.316 | 12 |
| 79.0 | 1.211 | 15 |
| 79.8 | 1.202 | 16 |

Atomic structure:
```
24
Lattice="10.209 0.000 0.000 0.000 4.147 0.000 -3.461 0.000 9.693" Properties=species:S:1:pos:R:3 pbc="T T T"
Nb 0.000 0.000 0.000
Nb -0.209 2.074 3.920
Nb -0.186 0.000 7.332
Nb 3.279 2.074 1.329
Nb 3.211 0.000 4.963
Nb 3.188 2.074 8.516
Nb 6.625 0.000 2.693
Nb 6.736 2.074 6.142
Fe -2.614 0.000 7.328
Fe 0.826 2.074 1.165
Fe 0.608 0.000 5.035
Fe 0.624 2.074 8.490
Fe 4.176 0.000 2.651
Fe 3.999 2.074 6.065
Fe 7.539 0.000 0.071
Fe 7.494 2.074 3.891
Bi 1.515 0.000 2.563
Bi 4.980 0.000 0.133
Bi 4.964 0.000 7.337
Bi 8.405 2.074 1.349
As -1.818 2.074 8.540
As 1.522 2.074 6.179
As 4.921 2.074 3.796
As 8.344 0.000 4.988
```